(1)
La4TcO10: simulated XRD peak list (Cu Ka), based on a crystal structure in Alexandria, relaxed with GGA-PBE.

Atomic structure:
```
La4TcO10
1.0
-4.359 4.359 2.806
4.359 -4.359 2.806
4.359 4.359 -2.806
La Tc O
4 1 10
Direct
0.100 0.698 0.798 La
0.302 0.100 0.401 La
0.698 0.900 0.599 La
0.900 0.302 0.202 La
0.500 0.500 0.000 Tc
0.110 0.376 0.919 O
0.192 0.110 0.735 O
0.250 0.750 0.500 O
0.376 0.457 0.265 O
0.457 0.192 0.081 O
0.543 0.808 0.919 O
0.624 0.543 0.735 O
0.750 0.250 0.500 O
0.808 0.890 0.265 O
0.890 0.624 0.081 O
```

Principal peaks in the range 10° ≤ 2θ ≤ 80°, low angle first:
Position (°2θ), I/Imax
27.86, 100
32.48, 19
46.16, 36
46.59, 18
54.40, 15
55.16, 29

(2)
LaZnTc2O8: simulated XRD peak list (Cu Ka), based on a crystal structure in Alexandria, relaxed with GGA-PBE.

Atomic structure:
```
LaZnTc2O8
1.0
-2.612 2.612 5.743
2.612 -2.612 5.743
2.612 2.612 -5.743
La Zn Tc O
1 1 2 8
Direct
0.000 0.000 0.000 La
0.750 0.250 0.500 Zn
0.250 0.750 0.500 Tc
0.500 0.500 0.000 Tc
0.081 0.652 0.078 O
0.161 0.261 0.593 O
0.348 0.425 0.429 O
0.431 0.839 0.100 O
0.575 0.004 0.922 O
0.668 0.569 0.407 O
0.739 0.332 0.900 O
0.996 0.919 0.571 O
```

Principal peaks in the range 10° ≤ 2θ ≤ 80°, low angle first:
Position (°2θ), I/Imax
28.73, 100
31.15, 14
34.33, 18
47.03, 31
53.95, 17
58.10, 27

(3)
La2TeO6: simulated XRD peak list (Cu Ka), based on a crystal structure in Alexandria, relaxed with GGA-PBE.

Atomic structure:
```
La2TeO6
1.0
5.554 0.000 0.000
0.000 9.549 0.000
0.000 0.000 10.479
La Te O
8 4 24
Direct
0.024 0.104 0.456 La
0.030 0.217 0.859 La
0.470 0.783 0.359 La
0.476 0.896 0.956 La
0.524 0.396 0.544 La
0.530 0.283 0.141 La
0.970 0.717 0.641 La
0.976 0.604 0.044 La
0.039 0.496 0.359 Te
0.461 0.504 0.859 Te
0.539 0.004 0.641 Te
0.961 0.996 0.141 Te
0.073 0.851 0.024 O
0.168 0.948 0.283 O
0.177 0.636 0.246 O
0.199 0.637 0.825 O
0.220 0.112 0.064 O
0.244 0.584 0.492 O
0.256 0.416 0.992 O
0.280 0.888 0.564 O
0.301 0.363 0.325 O
0.323 0.364 0.746 O
0.332 0.052 0.783 O
0.427 0.149 0.524 O
0.573 0.649 0.976 O
0.668 0.552 0.717 O
0.677 0.864 0.754 O
0.699 0.863 0.175 O
0.720 0.388 0.936 O
0.744 0.916 0.508 O
0.756 0.084 0.008 O
0.780 0.612 0.436 O
0.801 0.137 0.675 O
0.823 0.136 0.254 O
0.832 0.448 0.217 O
0.927 0.351 0.476 O
```

Principal peaks in the range 10° ≤ 2θ ≤ 80°, low angle first:
Position (°2θ), I/Imax
24.59, 42
25.16, 80
26.04, 100
31.68, 54
32.24, 33
51.34, 28

(4)
La2Ti2Te2O5: simulated XRD peak list (Cu Ka), based on a crystal structure in Alexandria, relaxed with GGA-PBE.

Atomic structure:
```
La2Ti2Te2O5
1.0
-1.983 1.983 13.692
1.983 -1.983 13.692
1.983 1.983 -13.692
La Ti Te O
2 2 2 5
Direct
0.138 0.138 0.000 La
0.862 0.862 0.000 La
0.434 0.434 0.000 Ti
0.566 0.566 0.000 Ti
0.305 0.305 0.000 Te
0.695 0.695 0.000 Te
0.082 0.582 0.500 O
0.418 0.918 0.500 O
0.500 0.500 0.000 O
0.582 0.082 0.500 O
0.918 0.418 0.500 O
```

Principal peaks in the range 10° ≤ 2θ ≤ 80°, low angle first:
Position (°2θ), I/Imax
12.93, 46
27.77, 56
31.91, 62
32.14, 100
45.76, 34
57.01, 38

(5)
LaTl2TeO8: simulated XRD peak list (Cu Ka), based on a crystal structure in Alexandria, relaxed with GGA-PBE.

Atomic structure:
```
LaTl2TeO8
1.0
4.864 0.000 0.000
0.000 7.158 0.000
-0.076 0.000 5.067
La Tl Te O
1 2 1 8
Direct
0.000 0.000 0.000 La
0.500 0.263 0.500 Tl
0.500 0.737 0.500 Tl
0.000 0.500 0.000 Te
0.150 0.293 0.794 O
0.150 0.707 0.794 O
0.318 0.500 0.247 O
0.427 0.000 0.252 O
0.573 0.000 0.748 O
0.682 0.500 0.753 O
0.850 0.293 0.206 O
0.850 0.707 0.206 O
```

Principal peaks in the range 10° ≤ 2θ ≤ 80°, low angle first:
Position (°2θ), I/Imax
25.19, 88
25.58, 89
30.58, 100
31.02, 78
47.57, 40
48.02, 34

(6)
La2TmTe2O2: simulated XRD peak list (Cu Ka), based on a crystal structure in Alexandria, relaxed with GGA-PBE.

Atomic structure:
```
La2TmTe2O2
1.0
-2.198 2.198 8.418
2.198 -2.198 8.418
2.198 2.198 -8.418
La Tm Te O
2 1 2 2
Direct
0.111 0.111 0.000 La
0.889 0.889 0.000 La
0.500 0.500 0.000 Tm
0.319 0.319 0.000 Te
0.681 0.681 0.000 Te
0.000 0.500 0.500 O
0.500 0.000 0.500 O
```

Principal peaks in the range 10° ≤ 2θ ≤ 80°, low angle first:
Position (°2θ), I/Imax
28.72, 81
33.53, 100
41.07, 37
54.02, 51
59.48, 12
67.37, 15